Calculated powder diffraction line list
Compound: RbNi4Bi12
Radiation: Cu Kα (λ = 1.5418 Å)
Structure: the PBE geometry in Alexandria
Neutral-atom scattering factors, no anomalous dispersion.

Peak list (10 most intense, 2θ from 10° to 90°, low angle first)
two_theta  d [Å]  I (rel.)
28.90  3.090  100
34.34  2.611  42
41.32  2.185  14
43.44  2.083  11
45.48  1.995  15
47.44  1.916  22
54.78  1.676  20
56.51  1.629  14
64.70  1.441  21
84.05  1.152  13

```
data_RbNi4Bi12
_cell_length_a 9.7710
_cell_length_b 9.7710
_cell_length_c 9.7710
_cell_angle_alpha 90.00
_cell_angle_beta 90.00
_cell_angle_gamma 90.00
_space_group_name_H-M_alt 'I m -3'
_space_group_IT_number 204
_space_group_name_Hall '-I 2 2 3'
loop_
_atom_site_label
_atom_site_type_symbol
_atom_site_fract_x
_atom_site_fract_y
_atom_site_fract_z
Rb1 Rb 0.0000 0.0000 0.0000
Ni1 Ni 0.2500 0.2500 0.2500
Bi1 Bi 0.0000 0.3370 0.1654
```